(1)
Structure and computed powder X-ray diffraction pattern of DyMg10Cd2 (a cell relaxed with PBE; Cu Kα (weighted mean of Kα1 and Kα2)).
Neutral-atom scattering factors, no anomalous dispersion.

Cell and atoms:
```
data_DyMg10Cd2
_chemical_formula_sum 'Dy4 Mg40 Cd8'
_space_group_name_H-M_alt 'F m m m'
_space_group_IT_number 69
_space_group_name_Hall '-F 2 2'
_cell_length_a 5.9479
_cell_length_b 14.2026
_cell_length_c 14.3012
_cell_angle_alpha 90.00
_cell_angle_beta 90.00
_cell_angle_gamma 90.00
loop_
_atom_site_label
_atom_site_type_symbol
_atom_site_fract_x
_atom_site_fract_y
_atom_site_fract_z
_atom_site_occupancy
Dy1 Dy 0.0000 0.0000 0.0000 1
Mg1 Mg 0.0000 0.1069 0.3952 1
Mg2 Mg 0.0000 0.1764 0.1729 1
Mg3 Mg 0.2500 0.0000 0.2500 1
Cd1 Cd 0.2500 0.2500 0.0000 1
```

Top 12 peaks for 2θ from 10° to 80°, by angle:
- 2θ = 12.38°, d = 7.149 Å, intensity 100
- 2θ = 17.31°, d = 5.122 Å, intensity 27
- 2θ = 24.79°, d = 3.592 Å, intensity 37
- 2θ = 24.90°, d = 3.575 Å, intensity 21
- 2θ = 25.08°, d = 3.551 Å, intensity 22
- 2θ = 28.06°, d = 3.180 Å, intensity 35
- 2θ = 30.56°, d = 2.925 Å, intensity 30
- 2θ = 35.04°, d = 2.561 Å, intensity 83
- 2θ = 35.39°, d = 2.536 Å, intensity 25
- 2θ = 35.62°, d = 2.521 Å, intensity 74
- 2θ = 41.49°, d = 2.176 Å, intensity 26
- 2θ = 63.63°, d = 1.462 Å, intensity 20

---

(2)
Structure and computed powder X-ray diffraction pattern of La3Y2Ho (a cell relaxed with PBE; Cu Kα (weighted mean of Kα1 and Kα2)).
Neutral-atom scattering factors, no anomalous dispersion.

Cell and atoms:
```
data_La3Y2Ho
_chemical_formula_sum 'La6 Y4 Ho2'
_space_group_name_H-M_alt 'P 1 2/m 1'
_space_group_IT_number 10
_cell_length_a 7.2601
_cell_length_b 5.1869
_cell_length_c 10.9772
_cell_angle_alpha 90.00
_cell_angle_beta 90.61
_cell_angle_gamma 90.00
loop_
_space_group_symop_operation_xyz
'x,y,z'
'-x,-y,-z'
'-x,y,-z'
'x,-y,z'
loop_
_atom_site_label
_atom_site_type_symbol
_atom_site_fract_x
_atom_site_fract_y
_atom_site_fract_z
_atom_site_occupancy
La1 La 0.0012 0.0000 0.3288 1
La2 La 0.2470 0.5000 0.5002 1
La3 La 0.2515 0.5000 0.1619 1
Y1 Y 0.2526 0.5000 0.8352 1
Y2 Y 0.4993 0.0000 0.3302 1
Ho1 Ho 0.0000 0.0000 0.0000 1
Ho2 Ho 0.5000 0.0000 0.0000 1
```

Top 12 peaks for 2θ from 10° to 80°, by angle:
- 2θ = 29.88°, d = 2.990 Å, intensity 100
- 2θ = 30.05°, d = 2.974 Å, intensity 99
- 2θ = 34.60°, d = 2.592 Å, intensity 68
- 2θ = 35.01°, d = 2.563 Å, intensity 33
- 2θ = 49.74°, d = 1.833 Å, intensity 24
- 2θ = 50.03°, d = 1.823 Å, intensity 24
- 2θ = 59.07°, d = 1.564 Å, intensity 28
- 2θ = 59.19°, d = 1.561 Å, intensity 14
- 2θ = 59.33°, d = 1.558 Å, intensity 14
- 2θ = 59.56°, d = 1.552 Å, intensity 14
- 2θ = 59.84°, d = 1.545 Å, intensity 14
- 2θ = 62.09°, d = 1.495 Å, intensity 12

---

(3)
Structure and computed powder X-ray diffraction pattern of LiTbSnSe3 (a cell relaxed with PBE; Cu Kα (weighted mean of Kα1 and Kα2)).
Neutral-atom scattering factors, no anomalous dispersion.

Cell and atoms:
```
data_LiTbSnSe3
_chemical_formula_sum 'Li2 Tb2 Sn2 Se6'
_space_group_name_H-M_alt 'P 1 21/m 1'
_space_group_IT_number 11
_cell_length_a 8.7800
_cell_length_b 3.9644
_cell_length_c 9.0900
_cell_angle_alpha 90.00
_cell_angle_beta 97.91
_cell_angle_gamma 90.00
loop_
_space_group_symop_operation_xyz
'x,y,z'
'-x,-y,-z'
'-x,y+1/2,-z'
'x,-y+1/2,z'
loop_
_atom_site_label
_atom_site_type_symbol
_atom_site_fract_x
_atom_site_fract_y
_atom_site_fract_z
_atom_site_occupancy
Li1 Li 0.0974 0.2500 0.0860 1
Tb1 Tb 0.1583 0.2500 0.7128 1
Sn1 Sn 0.3460 0.7500 0.3310 1
Se1 Se 0.0966 0.2500 0.3746 1
Se2 Se 0.1969 0.7500 0.9527 1
Se3 Se 0.3870 0.7500 0.6382 1
```

Top 12 peaks for 2θ from 10° to 80°, by angle:
- 2θ = 15.11°, d = 5.865 Å, intensity 22
- 2θ = 19.72°, d = 4.502 Å, intensity 24
- 2θ = 21.44°, d = 4.145 Å, intensity 31
- 2θ = 29.77°, d = 3.001 Å, intensity 63
- 2θ = 30.51°, d = 2.930 Å, intensity 100
- 2θ = 31.22°, d = 2.865 Å, intensity 84
- 2θ = 37.59°, d = 2.393 Å, intensity 35
- 2θ = 38.17°, d = 2.357 Å, intensity 58
- 2θ = 41.00°, d = 2.201 Å, intensity 48
- 2θ = 41.36°, d = 2.183 Å, intensity 31
- 2θ = 45.77°, d = 1.982 Å, intensity 33
- 2θ = 55.55°, d = 1.654 Å, intensity 27